No. 1
Diffraction record for Zn53Co7. The X-ray diffraction stick pattern is simulated, not measured: it uses a cell relaxed with PBE and Cu Kα, 1.54184 Å.
No peak broadening, texture or thermal motion is included.

Largest 8 diffraction maxima, sorted by position, 2θ from 5° to 70°:
d/Å	2theta	I_rel
2.566	34.96	13
2.211	40.82	13
2.154	41.94	20
2.139	42.25	47
2.121	42.63	69
2.109	42.89	100
2.103	43.01	50
1.939	46.84	12

Cell and atoms:
Unit cell a=11.1920 b=7.7041 c=11.2764 alpha=90.00 beta=119.60 gamma=90.00
Fractional coordinates of all 60 atoms:
Zn: 0.0000 0.0326 0.0000
Zn: 0.0000 0.3653 0.5000
Zn: 0.0087 0.0623 0.6251
Zn: 0.0172 0.6616 0.6258
Zn: 0.0667 0.5314 0.8852
Zn: 0.0775 0.8595 0.8440
Zn: 0.1188 0.3696 0.3390
Zn: 0.1276 0.3270 0.1069
Zn: 0.1306 0.7315 0.1097
Zn: 0.1605 0.0369 0.2709
Zn: 0.1818 0.3712 0.7528
Zn: 0.1857 0.8651 0.5775
Zn: 0.2211 0.7101 0.3843
Zn: 0.2351 0.1965 0.5790
Zn: 0.2601 0.0379 0.0664
Zn: 0.2661 0.0474 0.8299
Zn: 0.2850 0.6826 0.8133
Zn: 0.3077 0.3680 0.0197
Zn: 0.3408 0.5280 0.2709
Zn: 0.3476 0.7061 0.0731
Zn: 0.3869 0.2002 0.3117
Zn: 0.3878 0.0000 0.5104
Zn: 0.3909 0.3959 0.5202
Zn: 0.4279 0.7079 0.6829
Zn: 0.4323 0.3943 0.7767
Zn: 0.4677 0.0301 0.7736
Zn: 0.5000 0.2075 0.0000
Zn: 0.5000 0.7039 0.5000
Zn: 0.5000 0.8685 0.0000
Zn: 0.5323 0.0301 0.2264
Zn: 0.5677 0.3943 0.2233
Zn: 0.5721 0.7079 0.3171
Zn: 0.6091 0.3959 0.4798
Zn: 0.6122 0.0000 0.4896
Zn: 0.6131 0.2002 0.6883
Zn: 0.6524 0.7061 0.9269
Zn: 0.6592 0.5280 0.7291
Zn: 0.6923 0.3680 0.9803
Zn: 0.7150 0.6826 0.1867
Zn: 0.7339 0.0474 0.1701
Zn: 0.7399 0.0379 0.9336
Zn: 0.7649 0.1965 0.4210
Zn: 0.7789 0.7101 0.6157
Zn: 0.8143 0.8651 0.4225
Zn: 0.8182 0.3712 0.2472
Zn: 0.8395 0.0369 0.7291
Zn: 0.8694 0.7315 0.8903
Zn: 0.8724 0.3270 0.8931
Zn: 0.8812 0.3696 0.6610
Zn: 0.9225 0.8595 0.1560
Zn: 0.9333 0.5314 0.1148
Zn: 0.9828 0.6616 0.3742
Zn: 0.9913 0.0623 0.3749
Co: 0.0749 0.1999 0.8593
Co: 0.2145 0.5344 0.5739
Co: 0.3610 0.8673 0.2827
Co: 0.5000 0.5375 0.0000
Co: 0.6390 0.8673 0.7173
Co: 0.7855 0.5344 0.4261
Co: 0.9251 0.1999 0.1407

=====

No. 2
Diffraction record for TcSe2I. The X-ray diffraction stick pattern is simulated, not measured: it uses a cell relaxed with PBE and Cu Kα, 1.54184 Å.
No peak broadening, texture or thermal motion is included.

Largest 8 diffraction maxima, sorted by position, 2θ from 5° to 70°:
d/Å	2theta	I_rel
6.638	13.34	100
3.319	26.86	33
2.936	30.45	32
2.907	30.76	72
2.840	31.51	80
2.624	34.17	52
2.176	41.50	34
1.698	54.00	38

Cell and atoms:
Unit cell a=5.6651 b=6.4819 c=7.4927 alpha=65.14 beta=68.91 gamma=64.17
Fractional coordinates of all 8 atoms:
Tc: 0.2054 0.0863 0.0012
Tc: 0.7946 0.9137 0.9988
Se: 0.2331 0.9247 0.7636
Se: 0.4336 0.7454 0.2352
Se: 0.5664 0.2546 0.7648
Se: 0.7669 0.0753 0.2364
I: 0.1130 0.4122 0.2274
I: 0.8870 0.5878 0.7726

=====

No. 3
Diffraction record for Th2Se2N. The X-ray diffraction stick pattern is simulated, not measured: it uses a cell relaxed with PBE and Cu Kα, 1.54184 Å.
No peak broadening, texture or thermal motion is included.

Largest 8 diffraction maxima, sorted by position, 2θ from 5° to 70°:
d/Å	2theta	I_rel
3.893	22.84	39
3.492	25.51	32
3.462	25.73	50
3.179	28.07	74
2.943	30.37	55
2.758	32.46	40
2.462	36.50	100
2.447	36.73	29

Cell and atoms:
Unit cell a=7.9904 b=7.9904 c=7.7866 alpha=90.00 beta=90.00 gamma=150.72
Fractional coordinates of all 10 atoms:
Th: 0.0442 0.9558 0.5000
Th: 0.3413 0.6587 0.3839
Th: 0.6587 0.3413 0.8839
Th: 0.9558 0.0442 0.0000
Se: 0.2958 0.7042 0.0150
Se: 0.4456 0.5544 0.6994
Se: 0.5544 0.4456 0.1994
Se: 0.7042 0.2958 0.5150
N: 0.0892 0.9108 0.8425
N: 0.9108 0.0892 0.3425